This entry pairs a crystal structure of LiV2Zn2Si2O10 with its simulated XRD peak list. Radiation: Cu Kα (λ = 1.5418 Å). Structure: a structure optimized by DFT (GGA+U).
Intensities are scaled so that the largest is 100.

```
data_LiV2Zn2Si2O10
_chemical_formula_sum 'Li1 V2 Zn2 Si2 O10'
_symmetry_space_group_name_H-M 'P 1'
_symmetry_Int_Tables_number 1
_cell_length_a 5.452
_cell_length_b 5.490
_cell_length_c 7.371
_cell_angle_alpha 108.60
_cell_angle_beta 108.94
_cell_angle_gamma 93.93
loop_
_symmetry_equiv_pos_as_xyz
'x,y,z'
loop_
_atom_site_label
_atom_site_type_symbol
_atom_site_fract_x
_atom_site_fract_y
_atom_site_fract_z
_atom_site_occupancy
Li1 Li 0.000 0.000 0.000 1
V1 V 0.581 0.870 0.600 1
V2 V 0.582 0.875 0.106 1
Zn1 Zn 0.389 0.287 0.374 1
Zn2 Zn 0.808 0.469 0.861 1
Si1 Si 0.263 0.269 0.871 1
Si2 Si 0.921 0.495 0.338 1
O1 O 0.242 0.603 0.472 1
O2 O 0.259 0.584 0.956 1
O3 O 0.356 0.153 0.061 1
O4 O 0.441 0.191 0.728 1
O5 O 0.519 0.963 0.374 1
O6 O 0.664 0.786 0.840 1
O7 O 0.740 0.560 0.483 1
O8 O 0.819 0.615 0.156 1
O9 O 0.908 0.176 0.235 1
O10 O 0.941 0.140 0.756 1
```

Peak list (12 most intense, 2θ = 10–80°, by intensity)
- 2θ = 26.7°, I 100, hkl 0 1 -2
- 2θ = 27.1°, I 48, hkl 1 1 0
- 2θ = 17.5°, I 41, hkl 1 0 0
- 2θ = 36.2°, I 39, hkl 1 -2 0
- 2θ = 42.8°, I 37, hkl 2 1 0
- 2θ = 38.8°, I 25, hkl 1 0 -3
- 2θ = 17.8°, I 20, hkl 1 0 -1
- 2θ = 35.5°, I 16, hkl -1 1 2
- 2θ = 23.9°, I 15, hkl 1 1 -1
- 2θ = 49.5°, I 15, hkl 1 1 -4
- 2θ = 54.1°, I 14, hkl 1 -3 2
- 2θ = 37.8°, I 12, hkl 0 1 2